Theoretical powder diffraction line list of Pm2W3O12 for Cu Ka, from DFT lattice parameters and positions (PBE+U).
Kinematic intensities with the Lorentz-polarization factor, no thermal factor.

Structure:
abc: 7.9109 11.6888 11.6324
angles: 90.00 109.42 90.00
Space group C2/c (No. 15)
Inequivalent atoms, fractional coordinates:
Pm: 0.1642 0.1234 0.0940 (multiplicity 8)
W: 0.0000 0.1341 0.7500 (multiplicity 4)
W: 0.1441 0.3952 0.5479 (multiplicity 8)
O: 0.0534 0.2839 0.4399 (multiplicity 8)
O: 0.0659 0.4624 0.9275 (multiplicity 8)
O: 0.1296 0.2096 0.8916 (multiplicity 8)
O: 0.1358 0.0511 0.4601 (multiplicity 8)
O: 0.1630 0.0436 0.7184 (multiplicity 8)
O: 0.2166 0.3249 0.6971 (multiplicity 8)

The 10 most intense peaks (15° ≤ 2θ ≤ 90°), sorted by position:
2θ (°), intensity
16.2, 16.5
18.2, 16.2
24.3, 14.9
27.2, 100.0
28.8, 69.9
30.6, 27.2
33.2, 16.3
33.5, 16.0
45.8, 35.6
46.0, 20.7